Theoretical XRD peak list of NdDy2Sb3 for Cu Kα (weighted mean of Kα1 and Kα2), from DFT lattice parameters and positions (PBE).
Kinematic intensities with the Lorentz-polarization factor, no thermal factor.

Largest 10 diffraction maxima, in order of falling intensity, 15° ≤ 2θ ≤ 90°:
Position (°2θ)	I_rel
28.51	100.0
40.76	76.2
66.82	34.7
50.49	27.2
74.19	25.6
59.01	12.7
88.29	8.4
24.63	2.8
48.20	1.8
64.91	0.9

Atomic structure:
```
data_NdDy2Sb3
_chemical_formula_sum 'Nd1 Dy2 Sb3'
_space_group_name_H-M_alt 'P -3 m 1'
_space_group_IT_number 164
_space_group_name_Hall '-P 3 2"'
_cell_length_a 4.4275
_cell_length_b 4.4275
_cell_length_c 10.8451
_cell_angle_alpha 90.00
_cell_angle_beta 90.00
_cell_angle_gamma 120.00
loop_
_atom_site_label
_atom_site_fract_x
_atom_site_fract_y
_atom_site_fract_z
Nd1 0.0000 0.0000 0.0000
Dy1 0.3333 0.6667 0.3356
Sb1 0.0000 0.0000 0.5000
Sb2 0.3333 0.6667 0.8268
```